Simulated powder diffraction line list of CdPHO3 for Cu Kα, from a GGA-PBE-relaxed structure.
Peak positions follow from Bragg's law for the DFT cell and can differ from measured ones.

Structure:
```
data_CdPHO3
_symmetry_space_group_name_H-M 'P 1'
_symmetry_Int_Tables_number 1
_cell_length_a 8.4439
_cell_length_b 8.4439
_cell_length_c 8.4439
_cell_angle_alpha 109.22
_cell_angle_beta 109.22
_cell_angle_gamma 109.22
loop_
_symmetry_equiv_pos_as_xyz
'x,y,z'
loop_
_atom_site_label
_atom_site_fract_x
_atom_site_fract_y
_atom_site_fract_z
Cd1 0.1427 0.8235 0.3159
Cd2 0.1765 0.6841 0.8573
Cd3 0.3159 0.1427 0.8235
Cd4 0.6841 0.8573 0.1765
Cd5 0.8235 0.3159 0.1427
Cd6 0.8573 0.1765 0.6841
P1 0.1191 0.2650 0.4750
P2 0.2650 0.4750 0.1191
P3 0.4750 0.1191 0.2650
P4 0.5250 0.8809 0.7350
P5 0.7350 0.5250 0.8809
P6 0.8809 0.7350 0.5250
H1 0.2679 0.4055 0.4761
H2 0.4055 0.4761 0.2679
H3 0.4761 0.2679 0.4055
H4 0.5239 0.7321 0.5945
H5 0.5945 0.5239 0.7321
H6 0.7321 0.5945 0.5239
O1 0.0565 0.8445 0.7293
O2 0.0805 0.3746 0.6309
O3 0.1295 0.5200 0.1893
O4 0.1555 0.2707 0.9435
O5 0.1893 0.1295 0.5200
O6 0.2707 0.9435 0.1555
O7 0.3691 0.9195 0.6254
O8 0.3746 0.6309 0.0805
O9 0.4800 0.8107 0.8705
O10 0.5200 0.1893 0.1295
O11 0.6254 0.3691 0.9195
O12 0.6309 0.0805 0.3746
O13 0.7293 0.0565 0.8445
O14 0.8107 0.8705 0.4800
O15 0.8445 0.7293 0.0565
O16 0.8705 0.4800 0.8107
O17 0.9195 0.6254 0.3691
O18 0.9435 0.1555 0.2707
```

Largest 10 diffraction maxima, by angle, 2θ from 5° to 70°:
12.74 deg, I 444; 12.86 deg, I 1000; 22.30 deg, I 589; 25.65 deg, I 418; 28.79 deg, I 934; 28.95 deg, I 980; 34.06 deg, I 460; 34.47 deg, I 528; 39.10 deg, I 640; 54.95 deg, I 433